Ac8Tb4Dy: calculated powder XRD pattern (Cu Kα X-rays), based on a GGA-PBE-relaxed structure.
No peak broadening, texture or thermal motion is included.

Peak list (8 most intense, 2θ = 15–90°, sorted by position)
d 4.800, intensity 8; d 4.157, intensity 17; d 2.940, intensity 100; d 2.079, intensity 19; d 1.697, intensity 40; d 1.470, intensity 12; d 1.315, intensity 17; d 1.111, intensity 15

Structure:
```
13
Lattice="5.8821 3.3960 4.7957 -5.8821 3.3960 4.7957 0.0000 -6.7921 4.7957" Properties=species:S:1:pos:R:3 pbc="T T T"
Ac 0.0000 0.0000 3.4814
Ac 0.0000 -3.5024 5.9530
Ac -3.0332 1.7512 5.9530
Ac -3.0332 -1.7512 8.4341
Ac 3.0332 1.7512 5.9530
Ac 3.0332 -1.7512 8.4341
Ac 0.0000 3.5024 8.4341
Ac 0.0000 0.0000 10.9057
Tb 0.0000 0.0000 0.0000
Tb -2.9410 -1.6980 4.7957
Tb -2.9410 1.6980 9.5914
Tb 0.0000 3.3960 4.7957
Dy 0.0000 0.0000 7.1935
```